Record 1
# Zn2In2HgCl6
Theoretical powder X-ray diffraction pattern, CuKα. Input: DFT lattice parameters and positions (PBE).
Peak positions follow from Bragg's law for the DFT cell and can differ from measured ones.

Cell and atoms:
```
Zn2In2HgCl6
1.0
7.045 0.000 0.000
1.801 7.580 0.000
2.286 0.765 7.568
Zn In Hg Cl
2 2 1 6
Cartesian
1.026 2.782 1.292
10.106 5.563 6.276
5.282 5.722 1.738
5.849 2.623 5.830
4.665 0.382 3.784
2.496 4.400 0.334
1.945 0.791 0.917
3.883 4.766 4.364
7.249 3.579 3.204
9.186 7.554 6.651
8.635 3.945 7.234
```

The 8 most intense peaks (2θ from 10° to 90°), low angle first:
2θ = 13.38°, d 6.616, intensity 58
2θ = 16.84°, d 5.264, intensity 48
2θ = 17.42°, d 5.092, intensity 54
2θ = 19.50°, d 4.552, intensity 51
2θ = 20.00°, d 4.440, intensity 47
2θ = 21.55°, d 4.123, intensity 87
2θ = 22.49°, d 3.953, intensity 100
2θ = 35.24°, d 2.547, intensity 49


Record 2
# ZrInHgCl6
Theoretical powder X-ray diffraction pattern, CuKα. Input: DFT lattice parameters and positions (PBE).
Peak positions follow from Bragg's law for the DFT cell and can differ from measured ones.

Cell and atoms:
```
ZrInHgCl6
1.0
3.655 -6.352 0.000
3.655 6.352 0.000
-0.014 0.000 6.467
Zr In Hg Cl
1 1 1 6
Cartesian
0.000 0.000 0.000
3.648 -2.112 3.233
3.655 2.124 0.000
1.061 1.737 5.021
2.688 4.552 1.445
4.608 4.552 5.022
2.042 0.064 1.446
5.254 0.064 5.021
6.235 1.737 1.446
```

The 8 most intense peaks (2θ from 10° to 90°), low angle first:
2θ = 13.69°, d 6.467, intensity 22
2θ = 19.61°, d 4.528, intensity 100
2θ = 24.31°, d 3.661, intensity 37
2θ = 28.01°, d 3.186, intensity 29
2θ = 31.42°, d 2.847, intensity 30
2θ = 37.08°, d 2.425, intensity 51
2θ = 40.10°, d 2.249, intensity 29
2θ = 42.82°, d 2.112, intensity 17


Record 3
# HgIr2Cl
Theoretical powder X-ray diffraction pattern, CuKα. Input: DFT lattice parameters and positions (PBE).
Peak positions follow from Bragg's law for the DFT cell and can differ from measured ones.

Cell and atoms:
```
HgIr2Cl
1.0
2.840 0.000 0.000
0.000 3.495 0.000
-0.118 0.000 7.855
Hg Ir Cl
1 2 1
Cartesian
0.000 0.000 0.000
0.000 0.000 3.257
1.419 1.747 1.874
-0.002 1.747 4.943
```

The 8 most intense peaks (2θ from 10° to 90°), low angle first:
2θ = 11.26°, d 7.855, intensity 100
2θ = 34.35°, d 2.611, intensity 63
2θ = 38.85°, d 2.318, intensity 20
2θ = 39.44°, d 2.285, intensity 20
2θ = 40.95°, d 2.204, intensity 41
2θ = 42.47°, d 2.128, intensity 14
2θ = 43.17°, d 2.095, intensity 25
2θ = 52.36°, d 1.747, intensity 13


Record 4
# K3Hg2Cl8
Theoretical powder X-ray diffraction pattern, CuKα. Input: DFT lattice parameters and positions (PBE).
Peak positions follow from Bragg's law for the DFT cell and can differ from measured ones.

Cell and atoms:
```
K3Hg2Cl8
1.0
3.694 2.133 9.092
-3.694 2.133 9.092
0.000 -4.265 9.092
K Hg Cl
3 2 8
Cartesian
0.000 0.000 0.000
0.000 0.000 5.473
0.000 0.000 21.802
0.000 0.000 10.979
0.000 0.000 16.295
-2.024 -1.169 15.371
0.000 -2.337 11.904
-2.024 1.169 11.904
0.000 0.000 8.503
0.000 0.000 18.772
2.024 -1.169 15.371
0.000 2.337 15.371
2.024 1.169 11.904
```

The 8 most intense peaks (2θ from 10° to 90°), low angle first:
2θ = 14.22°, d 6.229, intensity 80
2θ = 19.02°, d 4.666, intensity 62
2θ = 19.53°, d 4.546, intensity 30
2θ = 21.41°, d 4.151, intensity 68
2θ = 24.09°, d 3.694, intensity 100
2θ = 32.44°, d 2.760, intensity 55
2θ = 35.79°, d 2.509, intensity 49
2θ = 40.82°, d 2.211, intensity 38


Record 5
# KHg2Cl4
Theoretical powder X-ray diffraction pattern, CuKα. Input: DFT lattice parameters and positions (PBE).
Peak positions follow from Bragg's law for the DFT cell and can differ from measured ones.

Cell and atoms:
```
KHg2Cl4
1.0
6.742 0.000 0.000
-0.712 8.819 0.000
-2.984 -4.369 8.201
K Hg Cl
2 4 8
Cartesian
0.000 0.000 0.000
-0.333 4.450 5.310
-0.975 0.847 5.935
1.045 -0.784 5.939
3.139 2.181 2.264
2.888 6.602 2.241
-0.386 -2.623 7.823
1.634 -0.908 2.600
1.277 3.614 2.652
0.461 2.693 7.814
2.942 -2.301 5.825
5.080 0.834 2.613
4.728 5.140 2.633
3.874 2.367 5.827
```

The 8 most intense peaks (2θ from 10° to 90°), low angle first:
2θ = 11.39°, d 7.768, intensity 48
2θ = 14.24°, d 6.219, intensity 100
2θ = 20.95°, d 4.241, intensity 62
2θ = 21.67°, d 4.100, intensity 74
2θ = 22.90°, d 3.884, intensity 36
2θ = 25.62°, d 3.477, intensity 92
2θ = 32.18°, d 2.782, intensity 40
2θ = 39.13°, d 2.302, intensity 41


Record 6
# KNaHg2Cl6
Theoretical powder X-ray diffraction pattern, CuKα. Input: DFT lattice parameters and positions (PBE).
Peak positions follow from Bragg's law for the DFT cell and can differ from measured ones.

Cell and atoms:
```
KNaHg2Cl6
1.0
7.270 0.000 0.000
-3.635 6.298 0.000
-3.633 -2.099 7.118
K Na Hg Cl
1 1 2 6
Cartesian
0.000 0.000 0.000
3.640 2.089 3.560
0.009 -0.005 5.107
0.006 4.196 2.010
-2.449 0.086 5.183
-1.329 2.133 1.902
-2.518 4.104 5.224
2.476 0.060 1.949
1.306 2.076 5.185
2.453 4.077 1.905
```

The 8 most intense peaks (2θ from 10° to 90°), low angle first:
2θ = 16.34°, d 5.424, intensity 97
2θ = 21.83°, d 4.072, intensity 100
2θ = 24.48°, d 3.636, intensity 47
2θ = 25.02°, d 3.559, intensity 32
2θ = 29.58°, d 3.020, intensity 27
2θ = 33.03°, d 2.712, intensity 36
2θ = 41.54°, d 2.174, intensity 39
2θ = 43.10°, d 2.099, intensity 37


Record 7
# K7HgCl2O2
Theoretical powder X-ray diffraction pattern, CuKα. Input: DFT lattice parameters and positions (PBE).
Peak positions follow from Bragg's law for the DFT cell and can differ from measured ones.

Cell and atoms:
```
K7HgCl2O2
1.0
-2.848 2.869 12.258
2.848 -2.869 12.258
2.848 2.869 -12.258
K Hg Cl O
7 1 2 2
Cartesian
0.000 0.000 0.000
2.848 0.000 2.795
0.000 0.000 5.201
2.848 0.000 9.482
0.000 2.869 2.777
0.000 0.000 19.315
0.000 2.869 9.464
0.000 0.000 12.258
2.848 0.000 6.167
0.000 2.869 6.091
0.000 0.000 2.624
0.000 0.000 21.893
```

The 8 most intense peaks (2θ from 10° to 90°), low angle first:
2θ = 18.94°, d 4.684, intensity 82
2θ = 23.17°, d 3.839, intensity 51
2θ = 26.41°, d 3.375, intensity 86
2θ = 29.14°, d 3.065, intensity 28
2θ = 29.92°, d 2.986, intensity 31
2θ = 31.15°, d 2.872, intensity 100
2θ = 31.41°, d 2.848, intensity 41
2θ = 43.18°, d 2.095, intensity 35


Record 8
# KHg2SCl3O3
Theoretical powder X-ray diffraction pattern, CuKα. Input: DFT lattice parameters and positions (PBE).
Peak positions follow from Bragg's law for the DFT cell and can differ from measured ones.

Cell and atoms:
```
KHg2SCl3O3
1.0
3.105 -11.177 0.000
3.105 11.177 0.000
0.000 0.000 7.116
K Hg S Cl O
2 4 2 6 6
Cartesian
3.105 5.899 3.558
3.105 -5.899 0.000
3.105 9.806 6.994
3.105 2.250 5.971
3.105 -2.250 2.414
3.105 -9.806 3.436
3.105 7.406 0.310
3.105 -7.406 3.868
3.105 10.153 3.050
3.105 3.466 0.827
3.105 0.959 4.023
3.105 -0.959 0.465
3.105 -3.466 4.385
3.105 -10.153 6.608
1.225 4.043 4.668
3.105 6.715 6.131
1.225 -4.043 1.110
4.985 4.043 4.668
3.105 -6.715 2.573
4.985 -4.043 1.110
```

The 8 most intense peaks (2θ from 10° to 90°), low angle first:
2θ = 14.76°, d 6.002, intensity 40
2θ = 19.38°, d 4.580, intensity 40
2θ = 22.44°, d 3.962, intensity 100
2θ = 27.01°, d 3.301, intensity 18
2θ = 28.75°, d 3.105, intensity 46
2θ = 29.20°, d 3.058, intensity 37
2θ = 35.36°, d 2.538, intensity 29
2θ = 51.18°, d 1.785, intensity 17


Record 9
# K2Hg2SCl4O3
Theoretical powder X-ray diffraction pattern, CuKα. Input: DFT lattice parameters and positions (PBE).
Peak positions follow from Bragg's law for the DFT cell and can differ from measured ones.

Cell and atoms:
```
K2Hg2SCl4O3
1.0
9.849 0.000 0.000
0.000 6.106 0.000
-3.733 0.000 9.791
K Hg S Cl O
4 4 2 8 6
Cartesian
0.283 1.527 1.727
3.451 4.580 0.666
2.665 1.527 9.125
5.833 4.580 8.064
-1.411 1.527 6.222
1.844 4.580 5.143
4.272 1.527 4.648
7.527 4.580 3.569
-1.368 1.527 8.667
7.485 4.580 1.123
-1.550 4.580 5.921
1.066 4.580 2.870
1.390 1.527 5.249
3.856 1.527 2.311
2.260 4.580 7.480
4.726 4.580 4.542
5.050 1.527 6.921
7.667 1.527 3.870
-2.071 0.300 9.137
-2.071 2.753 9.137
0.055 1.527 9.057
6.061 4.580 0.734
8.187 3.353 0.653
8.187 5.806 0.653
```

The 8 most intense peaks (2θ from 10° to 90°), low angle first:
2θ = 17.99°, d 4.929, intensity 53
2θ = 22.59°, d 3.936, intensity 72
2θ = 23.31°, d 3.816, intensity 56
2θ = 24.22°, d 3.675, intensity 100
2θ = 28.30°, d 3.154, intensity 76
2θ = 29.25°, d 3.053, intensity 86
2θ = 32.19°, d 2.781, intensity 58
2θ = 41.15°, d 2.194, intensity 59


Record 10
# K2HgSbCl6
Theoretical powder X-ray diffraction pattern, CuKα. Input: DFT lattice parameters and positions (PBE).
Peak positions follow from Bragg's law for the DFT cell and can differ from measured ones.

Cell and atoms:
```
K2HgSbCl6
1.0
3.805 2.197 6.547
-3.805 2.197 6.547
0.000 -4.393 6.547
K Hg Sb Cl
2 1 1 6
Cartesian
0.000 0.000 0.000
0.000 0.000 9.694
0.000 0.000 4.131
0.000 0.000 13.874
-1.645 -2.651 8.805
-2.088 0.384 12.263
-1.473 2.750 8.805
0.711 -2.000 12.263
3.118 -0.099 8.805
1.377 1.616 12.263
```

The 8 most intense peaks (2θ from 10° to 90°), low angle first:
2θ = 16.20°, d 5.472, intensity 100
2θ = 22.58°, d 3.937, intensity 55
2θ = 23.38°, d 3.805, intensity 46
2θ = 32.73°, d 2.736, intensity 49
2θ = 36.20°, d 2.481, intensity 51
2θ = 37.24°, d 2.414, intensity 21
2θ = 40.61°, d 2.221, intensity 29
2θ = 41.09°, d 2.197, intensity 25


Record 11
# KTiHgCl6
Theoretical powder X-ray diffraction pattern, CuKα. Input: DFT lattice parameters and positions (PBE).
Peak positions follow from Bragg's law for the DFT cell and can differ from measured ones.

Cell and atoms:
```
KTiHgCl6
1.0
6.799 0.000 0.000
-1.989 6.596 0.000
-2.366 -0.894 6.433
K Ti Hg Cl
1 1 1 6
Cartesian
0.000 0.000 0.000
3.248 2.889 0.589
-1.168 2.611 3.698
0.143 0.585 5.232
1.289 2.392 1.779
-0.195 3.841 5.939
4.337 1.106 1.742
2.849 2.427 5.809
3.988 4.383 2.310
```

The 8 most intense peaks (2θ from 10° to 90°), low angle first:
2θ = 13.55°, d 6.533, intensity 100
2θ = 16.02°, d 5.533, intensity 78
2θ = 19.17°, d 4.630, intensity 34
2θ = 30.46°, d 2.935, intensity 33
2θ = 30.82°, d 2.902, intensity 36
2θ = 32.36°, d 2.767, intensity 34
2θ = 33.36°, d 2.686, intensity 22
2θ = 36.41°, d 2.467, intensity 20


Record 12
# KYHg2Cl8
Theoretical powder X-ray diffraction pattern, CuKα. Input: DFT lattice parameters and positions (PBE).
Peak positions follow from Bragg's law for the DFT cell and can differ from measured ones.

Cell and atoms:
```
KYHg2Cl8
1.0
6.669 0.000 0.000
0.252 6.789 0.000
2.246 1.141 8.541
K Y Hg Cl
1 1 2 8
Cartesian
0.000 0.000 0.000
1.123 0.570 4.270
3.778 3.512 2.021
5.388 4.418 6.519
3.116 6.366 5.936
2.762 2.812 4.079
2.475 6.145 2.209
4.106 3.765 8.420
5.061 4.165 0.121
6.691 1.785 6.332
6.404 5.118 4.462
6.050 1.564 2.605
```

The 8 most intense peaks (2θ from 10° to 90°), low angle first:
2θ = 13.16°, d 6.730, intensity 28
2θ = 13.72°, d 6.453, intensity 19
2θ = 19.05°, d 4.658, intensity 100
2θ = 21.90°, d 4.058, intensity 29
2θ = 23.14°, d 3.843, intensity 18
2θ = 24.12°, d 3.689, intensity 22
2θ = 27.78°, d 3.211, intensity 19
2θ = 34.28°, d 2.616, intensity 21